Structure and theoretical X-ray powder pattern of Zn2Cu10Sn5Hg3S20 (a cell relaxed with PBE; Cu Ka).
Peak positions follow from Bragg's law for the DFT cell and can differ from measured ones.

Top 8 peaks for 10 to 90 degrees two-theta, sorted by position:
d [Å], I_rel
3.934, 8
3.203, 100
1.967, 19
1.960, 19
1.957, 19
1.678, 15
1.674, 15
1.666, 14

Atomic structure:
```
Zn2Cu10Sn5Hg3S20
1.0
6.179 -2.778 0.000
6.179 2.778 0.000
-0.203 0.000 24.878
Zn Cu Sn Hg S
2 10 5 3 20
direct
0.100 0.100 0.401
0.900 0.900 0.599
0.001 0.997 0.749
0.003 0.999 0.251
0.200 0.200 0.050
0.200 0.200 0.550
0.399 0.402 0.351
0.400 0.400 0.850
0.598 0.601 0.649
0.600 0.600 0.150
0.800 0.800 0.450
0.800 0.800 0.950
0.100 0.100 0.900
0.302 0.302 0.697
0.500 0.500 0.500
0.698 0.698 0.303
0.900 0.900 0.100
0.300 0.299 0.201
0.500 0.500 0.000
0.701 0.700 0.799
0.015 0.494 0.379
0.021 0.503 0.880
0.075 0.594 0.024
0.086 0.598 0.525
0.200 0.717 0.674
0.206 0.726 0.177
0.274 0.794 0.823
0.283 0.800 0.326
0.402 0.914 0.475
0.406 0.925 0.976
0.497 0.979 0.120
0.506 0.985 0.621
0.603 0.130 0.775
0.622 0.100 0.281
0.697 0.179 0.920
0.702 0.188 0.423
0.812 0.298 0.577
0.821 0.303 0.080
0.870 0.397 0.225
0.900 0.378 0.719
```